[1]
This entry pairs a crystal structure of RbCaHfF7 with its computed powder diffractogram. Radiation: λ = 1.5418 Å (Cu Kα). Structure: DFT lattice parameters and positions (PBE).

Peak list (8 most intense, 2θ from 10° to 90°, by intensity)
d [Å]	2theta	I (rel.)	h k l
3.476	25.63	100.0	2 0 0
4.876	18.19	86.6	1 1 1
3.312	26.92	64.2	1 3 0
3.426	26.01	49.2	0 2 2
2.152	41.98	35.5	0 0 4
4.306	20.63	34.0	0 0 2
1.924	47.25	32.5	1 5 2
2.438	36.87	27.1	2 2 2

Lattice parameters (Å, degrees): 6.9405 11.3070 8.6123 90.00 90.00 90.00
Space group Cmcm (No. 63)
Inequivalent atoms, fractional coordinates:
Rb 0.0000 0.0000 0.0000
Ca 0.0000 0.3093 0.2500
Hf 0.0000 0.3067 0.7500
F 0.0000 0.2971 0.5158
F 0.0000 0.4877 0.7500
F 0.1746 0.1542 0.7500
F 0.2087 0.1424 0.2500

---

[2]
This entry pairs a crystal structure of MnAl2N3 with its computed powder diffractogram. Radiation: λ = 1.5418 Å (Cu Kα). Structure: DFT lattice parameters and positions (PBE).

Peak list (8 most intense, 2θ from 10° to 90°, by intensity)
d [Å]	2theta	I (rel.)	h k l
2.429	37.00	100.0	3 1 1
2.785	32.14	91.3	3 1 0
2.485	36.15	78.4	0 0 2
2.417	37.20	66.0	0 2 1
1.601	57.58	51.0	3 3 0
1.424	65.57	41.6	3 1 3
1.346	69.90	37.5	3 3 2
2.766	32.36	35.4	0 2 0

Lattice parameters (Å, degrees): 9.6686 5.5325 4.9700 90.00 90.00 90.00
Space group Cmc2_1 (No. 36)
Inequivalent atoms, fractional coordinates:
Mn 0.0000 0.1594 0.0000
Al 0.1703 0.3383 0.5010
N 0.0000 0.1858 0.3877
N 0.1737 0.3374 0.8829

---

[3]
This entry pairs a crystal structure of Zn2Sb3O8 with its computed powder diffractogram. Radiation: λ = 1.5418 Å (Cu Kα). Structure: DFT lattice parameters and positions (PBE).

Peak list (8 most intense, 2θ from 10° to 90°, by intensity)
d [Å]	2theta	I (rel.)	h k l
2.715	32.99	100.0	2 0 1
4.794	18.51	57.5	0 0 2
2.701	33.17	44.8	1 1 2
2.783	32.16	43.8	1 0 3
1.635	56.28	38.7	2 2 0
1.588	58.10	38.0	2 0 5
3.659	24.33	30.9	1 0 2
2.119	42.66	29.0	2 0 3

Lattice parameters (Å, degrees): 6.5386 6.5386 9.5877 90.00 90.00 120.00
Space group P6_3mc (No. 186)
Inequivalent atoms, fractional coordinates:
Zn 0.3333 0.6667 0.0000
Zn 0.3333 0.6667 0.3673
Sb 0.1653 0.3307 0.7046
O 0.0000 0.0000 0.3108
O 0.0317 0.5158 0.8373
O 0.1668 0.3336 0.1050
O 0.3333 0.6667 0.5807

---

What did the first record say?
This entry pairs a crystal structure of RbCaHfF7 with its computed powder diffractogram. Radiation: λ = 1.5418 Å (Cu Kα). Structure: DFT lattice parameters and positions (PBE).

Peak list (8 most intense, 2θ from 10° to 90°, by intensity)
d [Å]	2theta	I (rel.)	h k l
3.476	25.63	100.0	2 0 0
4.876	18.19	86.6	1 1 1
3.312	26.92	64.2	1 3 0
3.426	26.01	49.2	0 2 2
2.152	41.98	35.5	0 0 4
4.306	20.63	34.0	0 0 2
1.924	47.25	32.5	1 5 2
2.438	36.87	27.1	2 2 2

Lattice parameters (Å, degrees): 6.9405 11.3070 8.6123 90.00 90.00 90.00
Space group Cmcm (No. 63)
Inequivalent atoms, fractional coordinates:
Rb 0.0000 0.0000 0.0000
Ca 0.0000 0.3093 0.2500
Hf 0.0000 0.3067 0.7500
F 0.0000 0.2971 0.5158
F 0.0000 0.4877 0.7500
F 0.1746 0.1542 0.7500
F 0.2087 0.1424 0.2500